For Li2CuCl4, a cell relaxed with PBE gives the theoretical powder X-ray diffraction pattern in this record (Cu Kα).
Intensities are scaled so that the largest is 100.

Largest 8 diffraction maxima, sorted by position, 15 to 90 degrees two-theta:
(1 1 1), d = 4.426 Å, 20.1 deg, rel. 100; (0 2 0), d = 3.515 Å, 25.3 deg, rel. 34; (1 2 1), d = 2.992 Å, 29.9 deg, rel. 19; (2 1 1), d = 2.848 Å, 31.4 deg, rel. 30; (1 0 4), d = 2.756 Å, 32.5 deg, rel. 49; (2 2 2), d = 2.213 Å, 40.8 deg, rel. 22; (1 3 1), d = 2.169 Å, 41.6 deg, rel. 66; (3 1 3), d = 1.833 Å, 49.7 deg, rel. 30

Cell lengths 6.4432, 7.0305, 12.1979 Å; angles 90.00, 90.00, 90.00 degrees
Space group Pbca (No. 61)
One atom of each set of equivalent atoms:
Li 0.0339 0.0998 0.1432 [8 per cell]
Cu 0.0000 0.0000 0.5000 [4 per cell]
Cl 0.1212 0.0416 0.6778 [8 per cell]
Cl 0.1941 0.1518 0.9505 [8 per cell]



For Co2Mo, a cell relaxed with PBE gives the theoretical powder X-ray diffraction pattern in this record (Cu Kα).
Intensities are scaled so that the largest is 100.

Largest 8 diffraction maxima, sorted by position, 15 to 90 degrees two-theta:
(1 0 1), d = 3.586 Å, 24.8 deg, rel. 4; (1 1 6), d = 2.105 Å, 43.0 deg, rel. 100; (0 0 12), d = 1.834 Å, 49.7 deg, rel. 16; (2 0 0), d = 1.817 Å, 50.2 deg, rel. 31; (2 0 12), d = 1.291 Å, 73.3 deg, rel. 18; (2 2 0), d = 1.285 Å, 73.7 deg, rel. 9; (1 1 18), d = 1.104 Å, 88.6 deg, rel. 11; (3 1 6), d = 1.097 Å, 89.3 deg, rel. 23

Cell lengths 3.6345, 3.6345, 22.0044 Å; angles 90.00, 90.00, 90.00 degrees
Space group I4_1/amd (No. 141, origin choice 2)
One atom of each set of equivalent atoms:
Co 0.0000 0.2500 0.1245 [8 per cell]
Co 0.0000 0.2500 0.7936 [8 per cell]
Mo 0.0000 0.2500 0.2948 [8 per cell]



For Zr4NiPb, a cell relaxed with PBE gives the theoretical powder X-ray diffraction pattern in this record (Cu Kα).
Intensities are scaled so that the largest is 100.

Largest 8 diffraction maxima, sorted by position, 15 to 90 degrees two-theta:
(2 0 0), d = 4.048 Å, 22.0 deg, rel. 11; (2 2 0), d = 2.862 Å, 31.2 deg, rel. 37; (3 1 1), d = 2.441 Å, 36.8 deg, rel. 100; (2 2 2), d = 2.337 Å, 38.5 deg, rel. 30; (4 2 2), d = 1.653 Å, 55.6 deg, rel. 15; (5 1 1), d = 1.558 Å, 59.3 deg, rel. 33; (4 4 0), d = 1.431 Å, 65.2 deg, rel. 25; (5 3 3), d = 1.235 Å, 77.3 deg, rel. 11

Cell lengths 8.0963, 8.0963, 8.0963 Å; angles 90.00, 90.00, 90.00 degrees
Space group F-43m (No. 216)
One atom of each set of equivalent atoms:
Zr 0.1248 0.1248 0.1248 [16 per cell]
Ni 0.2500 0.2500 0.7500 [4 per cell]
Pb 0.0000 0.0000 0.5000 [4 per cell]



For Al3Fe5, a cell relaxed with PBE gives the theoretical powder X-ray diffraction pattern in this record (Cu Kα).
Intensities are scaled so that the largest is 100.

Largest 8 diffraction maxima, sorted by position, 15 to 90 degrees two-theta:
(1 1 0), d = 4.027 Å, 22.1 deg, rel. 5; (2 0 0), d = 2.848 Å, 31.4 deg, rel. 9; (2 1 1), d = 2.325 Å, 38.7 deg, rel. 2; (2 2 0), d = 2.014 Å, 45.0 deg, rel. 100; (2 2 2), d = 1.644 Å, 55.9 deg, rel. 2; (4 0 0), d = 1.424 Å, 65.6 deg, rel. 15; (4 2 0), d = 1.274 Å, 74.5 deg, rel. 2; (4 2 2), d = 1.163 Å, 83.1 deg, rel. 29

Cell lengths 5.6953, 5.6953, 5.6953 Å; angles 90.00, 90.00, 90.00 degrees
Space group Im-3m (No. 229)
One atom of each set of equivalent atoms:
Al 0.0000 0.0000 0.5000 [6 per cell]
Fe 0.0000 0.0000 0.0000 [2 per cell]
Fe 0.2500 0.2500 0.2500 [8 per cell]



For Pm9Nd2Y, a cell relaxed with PBE gives the theoretical powder X-ray diffraction pattern in this record (Cu Kα).
Intensities are scaled so that the largest is 100.

Largest 8 diffraction maxima, sorted by position, 15 to 90 degrees two-theta:
(1 1 3), d = 2.979 Å, 30.0 deg, rel. 100; (2 0 0), d = 2.580 Å, 34.8 deg, rel. 51; (2 2 0), d = 1.824 Å, 50.0 deg, rel. 36; (3 1 3), d = 1.556 Å, 59.4 deg, rel. 43; (2 2 6), d = 1.490 Å, 62.3 deg, rel. 12; (4 0 0), d = 1.290 Å, 73.4 deg, rel. 6; (3 3 3), d = 1.184 Å, 81.3 deg, rel. 18; (4 2 0), d = 1.154 Å, 83.9 deg, rel. 16

Cell lengths 5.1605, 5.1605, 15.4759 Å; angles 90.00, 90.00, 90.00 degrees
Space group P4/mmm (No. 123)
One atom of each set of equivalent atoms:
Pm 0.0000 0.0000 0.0000 [1 per cell]
Pm 0.0000 0.0000 0.3326 [2 per cell]
Pm 0.0000 0.5000 0.1655 [4 per cell]
Pm 0.0000 0.5000 0.5000 [2 per cell]
Nd 0.5000 0.5000 0.3323 [2 per cell]
Y 0.5000 0.5000 0.0000 [1 per cell]



For Li2AsHPb, a cell relaxed with PBE gives the theoretical powder X-ray diffraction pattern in this record (Cu Kα).
Intensities are scaled so that the largest is 100.

Largest 8 diffraction maxima, sorted by position, 15 to 90 degrees two-theta:
(0 0 1), d = 4.621 Å, 19.2 deg, rel. 95; (1 0 0), d = 4.329 Å, 20.5 deg, rel. 36; (1 0 1), d = 3.159 Å, 28.2 deg, rel. 32; (1 1 0), d = 3.061 Å, 29.2 deg, rel. 72; (1 1 1), d = 2.552 Å, 35.2 deg, rel. 100; (2 0 0), d = 2.164 Å, 41.7 deg, rel. 32; (2 0 1), d = 1.960 Å, 46.3 deg, rel. 40; (1 1 2), d = 1.844 Å, 49.4 deg, rel. 34

Cell lengths 4.3289, 4.3289, 4.6208 Å; angles 90.00, 90.00, 90.00 degrees
Space group P4/mmm (No. 123)
One atom of each set of equivalent atoms:
Li 0.0000 0.5000 0.0000 [2 per cell]
As 0.0000 0.0000 0.5000 [1 per cell]
H 0.5000 0.5000 0.0000 [1 per cell]
Pb 0.5000 0.5000 0.5000 [1 per cell]



For Ca2Zn2CuP3, a cell relaxed with PBE gives the theoretical powder X-ray diffraction pattern in this record (Cu Kα).
Intensities are scaled so that the largest is 100.

Largest 8 diffraction maxima, sorted by position, 15 to 90 degrees two-theta:
(0 0 4), d = 5.386 Å, 16.5 deg, rel. 25; (1 0 2), d = 3.332 Å, 26.8 deg, rel. 24; (1 0 4), d = 2.937 Å, 30.4 deg, rel. 70; (1 0 6), d = 2.508 Å, 35.8 deg, rel. 68; (1 0 7), d = 2.312 Å, 39.0 deg, rel. 54; (0 0 10), d = 2.154 Å, 41.9 deg, rel. 24; (1 1 0), d = 2.023 Å, 44.8 deg, rel. 100; (1 1 10), d = 1.475 Å, 63.0 deg, rel. 39

Cell lengths 4.0462, 4.0462, 21.5424 Å; angles 90.00, 90.00, 120.00 degrees
Space group P6_3/mmc (No. 194)
One atom of each set of equivalent atoms:
Ca 0.0000 0.0000 0.1586 [4 per cell]
Zn 0.3333 0.6667 0.0424 [4 per cell]
Cu 0.3333 0.6667 0.7500 [2 per cell]
P 0.3333 0.6667 0.2500 [2 per cell]
P 0.3333 0.6667 0.5756 [4 per cell]



For Na3CaB5O10, a cell relaxed with PBE gives the theoretical powder X-ray diffraction pattern in this record (Cu Kα).
Intensities are scaled so that the largest is 100.

Largest 8 diffraction maxima, sorted by position, 15 to 90 degrees two-theta:
(0 1 2), d = 3.287 Å, 27.1 deg, rel. 44; (1 -2 2), d = 3.217 Å, 27.7 deg, rel. 100; (2 0 0), d = 3.141 Å, 28.4 deg, rel. 93; (2 -2 1), d = 3.092 Å, 28.9 deg, rel. 74; (-2 2 1), d = 3.065 Å, 29.1 deg, rel. 38; (2 0 1), d = 2.743 Å, 32.6 deg, rel. 70; (-1 2 2), d = 2.679 Å, 33.5 deg, rel. 66; (1 1 -5), d = 1.916 Å, 47.5 deg, rel. 63

Cell lengths 7.5028, 7.6664, 9.7430 Å; angles 100.65, 98.86, 119.15 degrees
Space group P-1 (No. 2)
One atom of each set of equivalent atoms:
Na 0.0102 0.2194 0.0482 [2 per cell]
Na 0.1542 0.2108 0.6758 [2 per cell]
Na 0.2516 0.7154 0.2453 [2 per cell]
Ca 0.2176 0.7490 0.6169 [2 per cell]
B 0.2345 0.3776 0.3725 [2 per cell]
B 0.2821 0.5647 0.9036 [2 per cell]
B 0.2919 0.0953 0.4068 [2 per cell]
B 0.3671 0.1318 0.9360 [2 per cell]
B 0.4122 0.2604 0.2074 [2 per cell]
O 0.0913 0.3993 0.8852 [2 per cell]
O 0.1444 0.4883 0.4059 [2 per cell]
O 0.2314 0.2400 0.4518 [2 per cell]
O 0.2336 0.9331 0.4586 [2 per cell]
O 0.2397 0.9974 0.8042 [2 per cell]
O 0.2859 0.1258 0.0568 [2 per cell]
O 0.3202 0.3854 0.2557 [2 per cell]
O 0.3610 0.6007 0.7819 [2 per cell]
O 0.4044 0.1250 0.3023 [2 per cell]
O 0.4163 0.7140 0.0418 [2 per cell]



For Dy2Te5Pd4, a cell relaxed with PBE gives the theoretical powder X-ray diffraction pattern in this record (Cu Kα).
Intensities are scaled so that the largest is 100.

Largest 8 diffraction maxima, sorted by position, 15 to 90 degrees two-theta:
(0 0 9), d = 5.795 Å, 15.3 deg, rel. 21; (1 0 1), d = 3.804 Å, 23.4 deg, rel. 26; (0 1 8), d = 3.292 Å, 27.1 deg, rel. 39; (0 1 11), d = 2.972 Å, 30.1 deg, rel. 66; (1 0 16), d = 2.478 Å, 36.3 deg, rel. 52; (1 1 0), d = 2.202 Å, 41.0 deg, rel. 100; (0 1 20), d = 2.153 Å, 42.0 deg, rel. 24; (1 0 22), d = 2.014 Å, 45.0 deg, rel. 24

Cell lengths 4.4038, 4.4038, 52.1595 Å; angles 90.00, 90.00, 120.00 degrees
Space group R-3m (No. 166, hexagonal axes)
One atom of each set of equivalent atoms:
Dy 0.0000 0.0000 0.1291 [6 per cell]
Te 0.0000 0.0000 0.2358 [6 per cell]
Te 0.0000 0.0000 0.3682 [6 per cell]
Te 0.0000 0.0000 0.5000 [3 per cell]
Pd 0.0000 0.0000 0.3172 [6 per cell]
Pd 0.0000 0.0000 0.4217 [6 per cell]



For Y3Cd3Ag2, a cell relaxed with PBE gives the theoretical powder X-ray diffraction pattern in this record (Cu Kα).
Intensities are scaled so that the largest is 100.

Largest 8 diffraction maxima, sorted by position, 15 to 90 degrees two-theta:
(1 1 1), d = 2.729 Å, 32.8 deg, rel. 100; (2 0 1), d = 2.525 Å, 35.5 deg, rel. 56; (2 1 0), d = 2.516 Å, 35.7 deg, rel. 80; (3 0 0), d = 2.219 Å, 40.7 deg, rel. 18; (2 1 1), d = 2.110 Å, 42.9 deg, rel. 30; (0 0 2), d = 1.938 Å, 46.9 deg, rel. 20; (2 1 2), d = 1.536 Å, 60.3 deg, rel. 33; (4 1 1), d = 1.360 Å, 69.0 deg, rel. 21

Cell lengths 7.6862, 7.6862, 3.8769 Å; angles 90.00, 90.00, 120.00 degrees
Space group P-62m (No. 189)
One atom of each set of equivalent atoms:
Y 0.0000 0.5920 0.0000 [3 per cell]
Cd 0.0000 0.2307 0.5000 [3 per cell]
Ag 0.3333 0.6667 0.5000 [2 per cell]



For Cd2Hg12Pb5, a cell relaxed with PBE gives the theoretical powder X-ray diffraction pattern in this record (Cu Kα).
Intensities are scaled so that the largest is 100.

Largest 8 diffraction maxima, sorted by position, 15 to 90 degrees two-theta:
(2 0 -2), d = 2.946 Å, 30.3 deg, rel. 28; (0 4 0), d = 2.921 Å, 30.6 deg, rel. 74; (1 1 -2), d = 2.897 Å, 30.9 deg, rel. 31; (5 1 -1), d = 2.837 Å, 31.5 deg, rel. 32; (4 2 1), d = 2.569 Å, 34.9 deg, rel. 100; (6 2 -1), d = 2.289 Å, 39.4 deg, rel. 22; (2 4 -2), d = 2.074 Å, 43.6 deg, rel. 21; (4 6 1), d = 1.610 Å, 57.2 deg, rel. 25

Cell lengths 15.2456, 11.6839, 5.9820 Å; angles 90.00, 102.81, 90.00 degrees
Space group C2/m (No. 12)
One atom of each set of equivalent atoms:
Cd 0.0000 0.2447 0.0000 [4 per cell]
Hg 0.0532 0.5000 0.2582 [4 per cell]
Hg 0.0995 0.2502 0.6125 [8 per cell]
Hg 0.1086 0.0000 0.0710 [4 per cell]
Hg 0.1961 0.2473 0.2060 [8 per cell]
Pb 0.0000 0.0000 0.5000 [2 per cell]
Pb 0.1660 0.5000 0.7928 [4 per cell]
Pb 0.2236 0.0000 0.6423 [4 per cell]



For TlTc2H, a cell relaxed with PBE gives the theoretical powder X-ray diffraction pattern in this record (Cu Kα).
Intensities are scaled so that the largest is 100.

Largest 8 diffraction maxima, sorted by position, 15 to 90 degrees two-theta:
(1 1 2), d = 2.873 Å, 31.1 deg, rel. 76; (1 0 3), d = 2.772 Å, 32.3 deg, rel. 100; (2 0 0), d = 2.478 Å, 36.2 deg, rel. 26; (2 0 2), d = 2.222 Å, 40.6 deg, rel. 37; (2 1 1), d = 2.165 Å, 41.7 deg, rel. 99; (1 0 5), d = 1.860 Å, 49.0 deg, rel. 31; (2 2 4), d = 1.437 Å, 64.9 deg, rel. 37; (3 2 1), d = 1.362 Å, 68.9 deg, rel. 22

Cell lengths 4.9569, 4.9569, 10.0323 Å; angles 90.00, 90.00, 90.00 degrees
Space group I4_1/amd (No. 141, origin choice 2)
One atom of each set of equivalent atoms:
Tl 0.0000 0.2500 0.3750 [4 per cell]
Tc 0.0000 0.0000 0.0000 [8 per cell]
H 0.0000 0.2500 0.8750 [4 per cell]